For La3PmTh2P6, a DFT-relaxed cell (PBE, Alexandria) gives the simulated X-ray powder pattern in this record (Cu Kα).

Atomic structure:
Unit cell a=7.2734 b=7.2734 c=7.2926 alpha=99.55 beta=99.55 gamma=120.03
Fractional positions:
La: 0.0000 0.0000 0.0000
La: 0.3341 0.6659 0.0000
La: 0.6659 0.3341 0.0000
Pm: 0.5000 0.5000 0.5000
Th: 0.1668 0.8332 0.5000
Th: 0.8332 0.1668 0.5000
P: 0.0842 0.4197 0.2593
P: 0.2445 0.2445 0.7407
P: 0.4197 0.0842 0.2593
P: 0.5803 0.9158 0.7407
P: 0.7555 0.7555 0.2593
P: 0.9158 0.5803 0.7407

Peak list (8 most intense, 10° ≤ 2θ ≤ 90°, low angle first)
2θ/deg, I_rel
25.9, 23
26.0, 67
30.1, 100
43.0, 50
43.1, 25
51.0, 26
53.4, 20
78.9, 17

For RbCe3Cl8, a DFT-relaxed cell (PBE, Alexandria) gives the simulated X-ray powder pattern in this record (Cu Kα).

Atomic structure:
Unit cell a=9.4827 b=9.4827 c=9.4827 alpha=49.86 beta=49.86 gamma=49.86
Fractional positions:
Rb: 0.0000 0.0000 0.0000
Ce: 0.0000 0.0000 0.5000
Ce: 0.0000 0.5000 0.0000
Ce: 0.5000 0.0000 0.0000
Cl: 0.2270 0.7359 0.7359
Cl: 0.2370 0.2370 0.2370
Cl: 0.2641 0.2641 0.7730
Cl: 0.2641 0.7730 0.2641
Cl: 0.7359 0.2270 0.7359
Cl: 0.7359 0.7359 0.2270
Cl: 0.7630 0.7630 0.7630
Cl: 0.7730 0.2641 0.2641

Peak list (8 most intense, 10° ≤ 2θ ≤ 90°, low angle first)
2θ/deg, I_rel
10.7, 100
13.3, 55
24.7, 26
26.0, 20
29.5, 94
36.2, 24
38.9, 44
45.4, 29